Computed powder XRD pattern of Li2Co2Si2O7 for Cu Kα, 1.54184 Å, from a DFT-relaxed cell (PBE+U, Alexandria).
Lines closer than 0.1° are merged.

Largest 8 diffraction maxima, by angle, 2θ from 15° to 90°:
Position (°2θ), I/Imax
18.3, 56
19.4, 41
20.2, 73
22.6, 53
26.5, 64
28.4, 100
36.4, 51
38.8, 47

Cell and atoms:
```
data_Li2Co2Si2O7
_cell_length_a 13.4745
_cell_length_b 5.4511
_cell_length_c 5.4511
_cell_angle_alpha 126.19
_cell_angle_beta 90.00
_cell_angle_gamma 90.00
_space_group_name_H-M_alt 'P 1'
_space_group_IT_number 1
_space_group_name_Hall 'P 1'
loop_
_atom_site_label
_atom_site_type_symbol
_atom_site_fract_x
_atom_site_fract_y
_atom_site_fract_z
Li1 Li 0.0000 0.0000 0.0000
Li2 Li 0.2500 0.0030 0.9473
Li3 Li 0.5000 0.0000 0.0000
Li4 Li 0.7500 0.9473 0.0030
Co1 Co 0.0796 0.1909 0.6310
Co2 Co 0.4204 0.1909 0.6310
Co3 Co 0.5796 0.6310 0.1909
Co4 Co 0.9204 0.6310 0.1909
Si1 Si 0.1372 0.5349 0.3229
Si2 Si 0.3628 0.5349 0.3229
Si3 Si 0.6372 0.3229 0.5349
Si4 Si 0.8628 0.3229 0.5349
O1 O 0.0639 0.5249 0.0742
O2 O 0.1181 0.2377 0.3201
O3 O 0.1277 0.8594 0.6587
O4 O 0.2500 0.4862 0.1742
O5 O 0.3723 0.8594 0.6587
O6 O 0.3819 0.2377 0.3201
O7 O 0.4361 0.5249 0.0742
O8 O 0.5639 0.0742 0.5249
O9 O 0.6181 0.3201 0.2377
O10 O 0.6277 0.6587 0.8594
O11 O 0.7500 0.1742 0.4862
O12 O 0.8723 0.6587 0.8594
O13 O 0.8819 0.3201 0.2377
O14 O 0.9361 0.0742 0.5249
```